The following is a theoretical X-ray diffraction stick pattern of K2Ni2MoS4. It was derived from a cell relaxed with PBE, using copper Kα.

Largest 10 diffraction maxima, by angle, 5° ≤ 2θ ≤ 70°:
two_theta, I (rel.)
12.34, 100
24.82, 18
32.62, 25
34.43, 26
37.25, 52
40.94, 9
42.94, 16
45.28, 27
50.47, 15
55.61, 22

Cell and atoms:
```
K2Ni2MoS4
1.0
6.613 -1.808 0.000
6.613 1.808 0.000
-2.219 0.000 7.174
K Ni Mo S
2 2 1 4
Direct
0.135 0.135 0.059 K
0.865 0.865 0.941 K
0.331 0.331 0.515 Ni
0.669 0.669 0.485 Ni
0.000 0.000 0.500 Mo
0.196 0.196 0.664 S
0.486 0.486 0.726 S
0.514 0.514 0.274 S
0.804 0.804 0.336 S
```